Diffraction record for Li4Cr2Fe3Sb3O16. The powder XRD pattern is simulated, not measured: it uses DFT lattice parameters and positions (GGA+U) and Cu Kα, 1.54184 Å.
Neutral-atom scattering factors, no anomalous dispersion.

Structure:
```
data_Li4Cr2Fe3Sb3O16
_space_group_name_H-M_alt 'P 1'
_space_group_IT_number 1
_space_group_name_Hall 'P 1'
_cell_length_a 6.102
_cell_length_b 6.148
_cell_length_c 9.701
_cell_angle_alpha 91.72
_cell_angle_beta 90.52
_cell_angle_gamma 119.16
loop_
_atom_site_label
_atom_site_fract_x
_atom_site_fract_y
_atom_site_fract_z
_atom_site_occupancy
Li1 0.000 0.000 0.000 1
Li2 0.012 0.029 0.519 1
Li3 0.330 0.657 0.620 1
Li4 0.666 0.338 0.100 1
Cr1 0.309 0.636 0.008 1
Cr2 0.643 0.287 0.529 1
Fe1 0.160 0.325 0.286 1
Fe2 0.322 0.147 0.791 1
Fe3 0.815 0.146 0.792 1
Sb1 0.159 0.818 0.289 1
Sb2 0.653 0.818 0.288 1
Sb3 0.814 0.636 0.789 1
O1 0.033 0.522 0.161 1
O2 0.138 0.800 0.906 1
O3 0.145 0.313 0.910 1
O4 0.311 0.134 0.405 1
O5 0.337 0.674 0.402 1
O6 0.469 0.952 0.165 1
O7 0.484 0.523 0.159 1
O8 0.517 0.024 0.657 1
O9 0.520 0.469 0.653 1
O10 0.652 0.808 0.903 1
O11 0.671 0.330 0.900 1
O12 0.816 0.134 0.403 1
O13 0.836 0.672 0.399 1
O14 0.947 0.455 0.659 1
O15 0.966 0.960 0.697 1
O16 0.980 0.969 0.186 1
```

Largest 10 diffraction maxima, low angle first, 2θ = 15–90°:
d 4.847, rel. 100, hkl 0 0 2
d 4.774, rel. 38, hkl 0 1 -1
d 4.723, rel. 23, hkl 1 0 -1
d 4.661, rel. 19, hkl 1 -1 1
d 4.616, rel. 34, hkl 1 0 1
d 2.661, rel. 18, hkl 2 0 0
d 2.588, rel. 22, hkl 2 0 -1
d 2.558, rel. 41, hkl 0 2 1
d 2.308, rel. 19, hkl 0 2 2
d 2.026, rel. 26, hkl 0 2 3